Structure and computed X-ray powder pattern of Fe2CoRhO6 (DFT lattice parameters and positions (GGA+U); Cu Ka).
Kinematic intensities with the Lorentz-polarization factor, no thermal factor.

Atomic structure:
Lattice parameters (Å, degrees): 5.3957 5.3957 5.3957 55.15 55.15 55.15
Positions (direct):
Fe: 0.0000 0.0000 0.0000
Fe: 0.4918 0.4918 0.4918
Co: 0.8018 0.8018 0.8018
Rh: 0.2974 0.2974 0.2974
O: 0.0872 0.7068 0.4072
O: 0.1995 0.5979 0.8804
O: 0.4072 0.0872 0.7068
O: 0.5979 0.8804 0.1995
O: 0.7068 0.4072 0.0872
O: 0.8804 0.1995 0.5979

Principal peaks in the range 5° ≤ 2θ ≤ 70°, in order of falling intensity:
d [Å], 2θ (°), I (rel.)
2.683, 33.40, 100
2.498, 35.95, 99
1.684, 54.49, 79
3.656, 24.34, 65
1.828, 49.88, 38
1.442, 64.63, 37
1.475, 63.01, 34
2.191, 41.21, 19
4.125, 21.54, 12
1.590, 57.99, 12